# 1
Starting from a structure optimized by DFT (PBE), the powder diffraction line list of RbAl2AuI8 was simulated for Cu Kα (λ = 1.5418 Å).
Intensities are scaled so that the largest is 100.

Main lines, by intensity (15 to 90 degrees two-theta):
2θ/deg  I (rel.)  hkl
29.2  100  2 -1 2
25.3  82  1 1 1
41.6  43  1 1 4
42.0  43  3 0 0
16.0  37  0 1 1
25.0  26  0 0 3
49.5  22  3 0 3
51.9  19  2 2 2
68.4  17  3 0 6
68.9  16  5 -1 2

Structure:
Unit cell a=7.4604 b=7.4604 c=10.6774 alpha=90.00 beta=90.00 gamma=120.00
Fractional coordinates of all 12 atoms:
Rb 0.0000 0.0000 0.0000
Al 0.3333 0.6667 0.7475
Al 0.6667 0.3333 0.2525
Au 0.0000 0.0000 0.5000
I 0.0102 0.3310 0.6736
I 0.3208 0.9898 0.6736
I 0.3310 0.3208 0.3264
I 0.3333 0.6667 0.9874
I 0.6667 0.3333 0.0126
I 0.6690 0.6792 0.6736
I 0.6792 0.0102 0.3264
I 0.9898 0.6690 0.3264



# 2
Starting from a structure optimized by DFT (PBE), the powder diffraction line list of AlIn2Au was simulated for Cu Kα (λ = 1.5418 Å).
Intensities are scaled so that the largest is 100.

Main lines, by intensity (15 to 90 degrees two-theta):
2θ/deg  I (rel.)  hkl
35.0  100  1 0 2
39.4  42  1 1 0
68.6  28  2 1 2
29.6  22  1 0 1
27.6  15  1 0 0
57.0  14  2 0 0
51.6  13  1 1 3
59.7  13  1 1 4
62.1  13  1 0 5
31.9  13  0 0 3

Structure:
Unit cell a=3.2329 b=3.2329 c=8.4205 alpha=90.00 beta=90.00 gamma=90.00
Fractional coordinates of all 4 atoms:
Al 0.0000 0.0000 0.0000
In 0.0000 0.0000 0.4224
In 0.5000 0.5000 0.7319
Au 0.5000 0.5000 0.1669